# 1
For YRh2, a cell relaxed with PBE gives the computed X-ray powder pattern in this record (Cu Ka).
Intensities are scaled so that the largest is 100.

Structure:
```
data_YRh2
_chemical_formula_sum 'Y8 Rh16'
_symmetry_space_group_name_H-M 'I 41/a m d'
_symmetry_Int_Tables_number 141
_cell_length_a 4.051
_cell_length_b 4.051
_cell_length_c 26.128
_cell_angle_alpha 90.00
_cell_angle_beta 90.00
_cell_angle_gamma 90.00
loop_
_symmetry_equiv_pos_as_xyz
'x,y,z'
'-x,-y,-z'
'-y+1/4,x+3/4,z+1/4'
'y+1/4,-x+3/4,-z+1/4'
'-x+1/2,-y,z+1/2'
'x+1/2,y,-z+1/2'
'y+1/4,-x+1/4,z+3/4'
'-y+1/4,x+1/4,-z+3/4'
'x,-y,-z'
'-x,y,z'
'-y+1/4,-x+1/4,-z+3/4'
'y+1/4,x+1/4,z+3/4'
'-x+1/2,y,-z+1/2'
'x+1/2,-y,z+1/2'
'y+1/4,x+3/4,-z+1/4'
'-y+1/4,-x+3/4,z+1/4'
'x+1/2,y+1/2,z+1/2'
'-x+1/2,-y+1/2,-z+1/2'
'-y+3/4,x+1/4,z+3/4'
'y+3/4,-x+1/4,-z+3/4'
'-x,-y+1/2,z'
'x,y+1/2,-z'
'y+3/4,-x+3/4,z+1/4'
'-y+3/4,x+3/4,-z+1/4'
'x+1/2,-y+1/2,-z+1/2'
'-x+1/2,y+1/2,z+1/2'
'-y+3/4,-x+3/4,-z+1/4'
'y+3/4,x+3/4,z+1/4'
'-x,y+1/2,-z'
'x,-y+1/2,z'
'y+3/4,x+1/4,-z+3/4'
'-y+3/4,-x+1/4,z+3/4'
loop_
_atom_site_label
_atom_site_type_symbol
_atom_site_fract_x
_atom_site_fract_y
_atom_site_fract_z
Y1 Y 0.000 0.250 0.300
Rh1 Rh 0.000 0.250 0.125
Rh2 Rh 0.000 0.250 0.794
```

Most intense lines, 2θ = 15–90°, sorted by position:
2θ 37.59, d 2.393, rel. 100, hkl 1 1 6
2θ 41.47, d 2.177, rel. 17, hkl 0 0 12
2θ 44.75, d 2.025, rel. 31, hkl 2 0 0
2θ 62.65, d 1.483, rel. 20, hkl 2 0 12
2θ 73.08, d 1.295, rel. 10, hkl 1 1 18
2θ 77.71, d 1.229, rel. 23, hkl 3 1 6

# 2
For Y2Rh, a cell relaxed with PBE gives the computed X-ray powder pattern in this record (Cu Ka).
Intensities are scaled so that the largest is 100.

Structure:
```
data_Y2Rh
_chemical_formula_sum 'Y8 Rh4'
_symmetry_space_group_name_H-M 'C 1 m 1'
_symmetry_Int_Tables_number 8
_cell_length_a 12.193
_cell_length_b 3.754
_cell_length_c 6.708
_cell_angle_alpha 90.00
_cell_angle_beta 90.05
_cell_angle_gamma 90.00
loop_
_symmetry_equiv_pos_as_xyz
'x,y,z'
'x,-y,z'
'x+1/2,y+1/2,z'
'x+1/2,-y+1/2,z'
loop_
_atom_site_label
_atom_site_type_symbol
_atom_site_fract_x
_atom_site_fract_y
_atom_site_fract_z
Y1 Y 0.000 0.000 0.000
Y2 Y 0.028 0.000 0.500
Y3 Y 0.232 0.500 0.809
Y4 Y 0.296 0.000 0.309
Rh1 Rh 0.132 0.500 0.218
Rh2 Rh 0.396 0.000 0.717
```

Most intense lines, 2θ = 15–90°, sorted by position:
2θ 19.68, d 4.512, rel. 42, hkl 2 0 1
2θ 30.42, d 2.939, rel. 64, hkl 2 0 2
2θ 32.46, d 2.758, rel. 92, hkl 3 1 0
2θ 35.18, d 2.551, rel. 84, hkl 3 1 -1
2θ 36.68, d 2.450, rel. 100, hkl 1 1 -2
2θ 39.97, d 2.256, rel. 31, hkl 4 0 2

# 3
For Y6Rh7, a cell relaxed with PBE gives the computed X-ray powder pattern in this record (Cu Ka).
Intensities are scaled so that the largest is 100.

Structure:
```
data_Y6Rh7
_chemical_formula_sum 'Y18 Rh21'
_symmetry_space_group_name_H-M 'R -3 m'
_symmetry_Int_Tables_number 166
_symmetry_space_group_name_Hall '-R 3 2"'
_cell_length_a 5.6771
_cell_length_b 5.6771
_cell_length_c 28.5409
_cell_angle_alpha 90.00
_cell_angle_beta 90.00
_cell_angle_gamma 120.00
loop_
_atom_site_label
_atom_site_type_symbol
_atom_site_fract_x
_atom_site_fract_y
_atom_site_fract_z
Y1 Y 0.0000 0.0000 0.0606
Y2 Y 0.0000 0.0000 0.1702
Y3 Y 0.0000 0.0000 0.3312
Rh1 Rh 0.0000 0.0000 0.5000
Rh2 Rh 0.0113 0.5057 0.0866
```

Most intense lines, 2θ = 15–90°, sorted by position:
2θ 31.52, d 2.839, rel. 49, hkl 1 1 0
2θ 36.69, d 2.449, rel. 60, hkl 0 2 1
2θ 36.87, d 2.438, rel. 100, hkl 1 1 6
2θ 37.83, d 2.378, rel. 55, hkl 0 0 12
2θ 39.93, d 2.258, rel. 70, hkl 2 0 5
2θ 42.96, d 2.105, rel. 63, hkl 0 2 7

# 4
For Y4Rh5, a cell relaxed with PBE gives the computed X-ray powder pattern in this record (Cu Ka).
Intensities are scaled so that the largest is 100.

Structure:
```
data_Y4Rh5
_chemical_formula_sum 'Y8 Rh10'
_symmetry_space_group_name_H-M 'I 4/m m m'
_symmetry_Int_Tables_number 139
_symmetry_space_group_name_Hall '-I 4 2'
_cell_length_a 9.369
_cell_length_b 9.369
_cell_length_c 4.174
_cell_angle_alpha 90.00
_cell_angle_beta 90.00
_cell_angle_gamma 90.00
loop_
_atom_site_label
_atom_site_type_symbol
_atom_site_fract_x
_atom_site_fract_y
_atom_site_fract_z
Y1 Y 0.000 0.284 0.000
Rh1 Rh 0.000 0.000 0.000
Rh2 Rh 0.163 0.163 0.500
```

Most intense lines, 2θ = 15–90°, sorted by position:
2θ 35.91, d 2.501, rel. 100, hkl 3 0 1
2θ 40.87, d 2.208, rel. 33, hkl 3 3 0
2θ 43.36, d 2.087, rel. 17, hkl 0 0 2
2θ 45.45, d 1.996, rel. 15, hkl 4 1 1
2θ 61.10, d 1.517, rel. 17, hkl 3 3 2
2θ 71.19, d 1.325, rel. 16, hkl 6 3 1

# 5
For YZn10Rh2, a cell relaxed with PBE gives the computed X-ray powder pattern in this record (Cu Ka).
Intensities are scaled so that the largest is 100.

Structure:
```
data_YZn10Rh2
_chemical_formula_sum 'Y4 Zn40 Rh8'
_symmetry_space_group_name_H-M 'F m m m'
_symmetry_Int_Tables_number 69
_symmetry_space_group_name_Hall '-F 2 2'
_cell_length_a 5.466
_cell_length_b 12.328
_cell_length_c 12.349
_cell_angle_alpha 90.00
_cell_angle_beta 90.00
_cell_angle_gamma 90.00
loop_
_atom_site_label
_atom_site_type_symbol
_atom_site_fract_x
_atom_site_fract_y
_atom_site_fract_z
Y1 Y 0.000 0.000 0.000
Zn1 Zn 0.000 0.108 0.391
Zn2 Zn 0.000 0.169 0.178
Zn3 Zn 0.250 0.250 0.000
Rh1 Rh 0.250 0.000 0.250
```

Most intense lines, 2θ = 15–90°, sorted by position:
2θ 34.95, d 2.567, rel. 42, hkl 1 3 3
2θ 38.89, d 2.316, rel. 100, hkl 2 2 2
2θ 40.78, d 2.213, rel. 89, hkl 1 1 5
2θ 41.40, d 2.181, rel. 70, hkl 0 4 4
2θ 44.28, d 2.045, rel. 88, hkl 2 4 0
2θ 46.56, d 1.951, rel. 40, hkl 0 6 2

# 6
For YZnRh, a cell relaxed with PBE gives the computed X-ray powder pattern in this record (Cu Ka).
Intensities are scaled so that the largest is 100.

Structure:
```
data_YZnRh
_chemical_formula_sum 'Y4 Zn4 Rh4'
_symmetry_space_group_name_H-M 'I 41 m d'
_symmetry_Int_Tables_number 109
_symmetry_space_group_name_Hall 'I 4bw -2'
_cell_length_a 3.873
_cell_length_b 3.873
_cell_length_c 16.408
_cell_angle_alpha 90.00
_cell_angle_beta 90.00
_cell_angle_gamma 90.00
loop_
_atom_site_label
_atom_site_type_symbol
_atom_site_fract_x
_atom_site_fract_y
_atom_site_fract_z
Y1 Y 0.000 0.000 0.000
Zn1 Zn 0.000 0.000 0.408
Rh1 Rh 0.000 0.000 0.560
```

Most intense lines, 2θ = 15–90°, sorted by position:
2θ 34.52, d 2.598, rel. 100, hkl 1 1 2
2θ 35.87, d 2.504, rel. 52, hkl 1 0 5
2θ 45.22, d 2.005, rel. 38, hkl 1 0 7
2θ 46.92, d 1.936, rel. 53, hkl 2 0 0
2θ 60.43, d 1.532, rel. 22, hkl 2 1 5
2θ 67.21, d 1.393, rel. 25, hkl 2 1 7

# 7
For YZnRh, a cell relaxed with PBE gives the computed X-ray powder pattern in this record (Cu Ka).
Intensities are scaled so that the largest is 100.

Structure:
```
data_YZnRh
_chemical_formula_sum 'Y4 Zn4 Rh4'
_symmetry_space_group_name_H-M 'I m m 2'
_symmetry_Int_Tables_number 44
_cell_length_a 4.103
_cell_length_b 7.179
_cell_length_c 7.951
_cell_angle_alpha 90.00
_cell_angle_beta 90.00
_cell_angle_gamma 90.00
loop_
_symmetry_equiv_pos_as_xyz
'x,y,z'
'-x,-y,z'
'-x,y,z'
'x,-y,z'
'x+1/2,y+1/2,z+1/2'
'-x+1/2,-y+1/2,z+1/2'
'-x+1/2,y+1/2,z+1/2'
'x+1/2,-y+1/2,z+1/2'
loop_
_atom_site_label
_atom_site_type_symbol
_atom_site_fract_x
_atom_site_fract_y
_atom_site_fract_z
Y1 Y 0.000 0.000 0.000
Y2 Y 0.000 0.500 0.098
Zn1 Zn 0.000 0.311 0.727
Rh1 Rh 0.000 0.216 0.417
```

Most intense lines, 2θ = 15–90°, sorted by position:
2θ 33.64, d 2.664, rel. 30, hkl 0 2 2
2θ 33.79, d 2.653, rel. 34, hkl 1 1 2
2θ 35.08, d 2.558, rel. 100, hkl 1 2 1
2θ 39.32, d 2.291, rel. 21, hkl 0 3 1
2θ 40.52, d 2.226, rel. 54, hkl 1 0 3
2θ 44.14, d 2.052, rel. 30, hkl 2 0 0

# 8
For Y3Zn8Rh, a cell relaxed with PBE gives the computed X-ray powder pattern in this record (Cu Ka).
Intensities are scaled so that the largest is 100.

Structure:
```
data_Y3Zn8Rh
_chemical_formula_sum 'Y9 Zn24 Rh3'
_symmetry_space_group_name_H-M 'R 3 m'
_symmetry_Int_Tables_number 160
_symmetry_space_group_name_Hall 'R 3 -2"'
_cell_length_a 5.2845
_cell_length_b 5.2845
_cell_length_c 26.6770
_cell_angle_alpha 90.00
_cell_angle_beta 90.00
_cell_angle_gamma 120.00
loop_
_atom_site_label
_atom_site_type_symbol
_atom_site_fract_x
_atom_site_fract_y
_atom_site_fract_z
Y1 Y 0.0000 0.0000 0.0000
Y2 Y 0.0000 0.0000 0.1259
Y3 Y 0.0000 0.0000 0.5163
Zn1 Zn 0.0000 0.0000 0.3164
Zn2 Zn 0.0000 0.0000 0.8189
Zn3 Zn 0.1673 0.3346 0.9035
Zn4 Zn 0.1684 0.3369 0.3981
Rh1 Rh 0.0000 0.0000 0.6224
```

Most intense lines, 2θ = 15–90°, sorted by position:
2θ 33.24, d 2.695, rel. 41, hkl 0 1 8
2θ 33.93, d 2.642, rel. 45, hkl 1 1 0
2θ 39.08, d 2.305, rel. 75, hkl 1 0 10
2θ 39.68, d 2.271, rel. 100, hkl 1 1 6
2θ 39.98, d 2.255, rel. 64, hkl 2 0 2
2θ 41.73, d 2.164, rel. 66, hkl 0 2 4

# 9
For Y3Zn2Rh3, a cell relaxed with PBE gives the computed X-ray powder pattern in this record (Cu Ka).
Intensities are scaled so that the largest is 100.

Structure:
```
data_Y3Zn2Rh3
_chemical_formula_sum 'Y6 Zn4 Rh6'
_symmetry_space_group_name_H-M 'P 63/m c m'
_symmetry_Int_Tables_number 193
_symmetry_space_group_name_Hall '-P 6c 2'
_cell_length_a 8.1102
_cell_length_b 8.1102
_cell_length_c 5.5932
_cell_angle_alpha 90.00
_cell_angle_beta 90.00
_cell_angle_gamma 120.00
loop_
_atom_site_label
_atom_site_type_symbol
_atom_site_fract_x
_atom_site_fract_y
_atom_site_fract_z
Y1 Y 0.0000 0.2744 0.2500
Zn1 Zn 0.3333 0.6667 0.0000
Rh1 Rh 0.0000 0.3930 0.7500
```

Most intense lines, 2θ = 15–90°, sorted by position:
2θ 32.00, d 2.797, rel. 34, hkl 0 0 2
2θ 37.50, d 2.398, rel. 100, hkl 2 1 1
2θ 38.45, d 2.341, rel. 80, hkl 3 0 0
2θ 39.13, d 2.302, rel. 93, hkl 1 1 2
2θ 49.55, d 1.840, rel. 37, hkl 3 1 1
2θ 60.70, d 1.526, rel. 24, hkl 2 1 3

# 10
For Y7Zn2Rh2, a cell relaxed with PBE gives the computed X-ray powder pattern in this record (Cu Ka).
Intensities are scaled so that the largest is 100.

Structure:
```
data_Y7Zn2Rh2
_chemical_formula_sum 'Y14 Zn4 Rh4'
_symmetry_space_group_name_H-M 'C m m m'
_symmetry_Int_Tables_number 65
_symmetry_space_group_name_Hall '-C 2 2'
_cell_length_a 7.759
_cell_length_b 10.847
_cell_length_c 7.084
_cell_angle_alpha 90.00
_cell_angle_beta 90.00
_cell_angle_gamma 90.00
loop_
_atom_site_label
_atom_site_type_symbol
_atom_site_fract_x
_atom_site_fract_y
_atom_site_fract_z
Y1 Y 0.000 0.000 0.000
Y2 Y 0.000 0.500 0.256
Y3 Y 0.250 0.250 0.261
Zn1 Zn 0.168 0.000 0.500
Rh1 Rh 0.000 0.292 0.000
```

Most intense lines, 2θ = 15–90°, sorted by position:
2θ 26.19, d 3.403, rel. 42, hkl 2 0 1
2θ 28.28, d 3.155, rel. 32, hkl 2 2 0
2θ 28.91, d 3.089, rel. 34, hkl 1 1 2
2θ 33.03, d 2.712, rel. 57, hkl 0 4 0
2θ 37.38, d 2.406, rel. 50, hkl 1 3 2
2θ 38.20, d 2.356, rel. 100, hkl 2 2 2

# 11
For YZn11Rh, a cell relaxed with PBE gives the computed X-ray powder pattern in this record (Cu Ka).
Intensities are scaled so that the largest is 100.

Structure:
```
data_YZn11Rh
_chemical_formula_sum 'Y2 Zn22 Rh2'
_symmetry_space_group_name_H-M 'C 1 2/m 1'
_symmetry_Int_Tables_number 12
_cell_length_a 5.193
_cell_length_b 12.691
_cell_length_c 6.701
_cell_angle_alpha 90.00
_cell_angle_beta 111.59
_cell_angle_gamma 90.00
loop_
_symmetry_equiv_pos_as_xyz
'x,y,z'
'-x,-y,-z'
'-x,y,-z'
'x,-y,z'
'x+1/2,y+1/2,z'
'-x+1/2,-y+1/2,-z'
'-x+1/2,y+1/2,-z'
'x+1/2,-y+1/2,z'
loop_
_atom_site_label
_atom_site_type_symbol
_atom_site_fract_x
_atom_site_fract_y
_atom_site_fract_z
Y1 Y 0.000 0.000 0.000
Zn1 Zn 0.000 0.500 0.500
Zn2 Zn 0.108 0.392 0.216
Zn3 Zn 0.159 0.174 0.355
Zn4 Zn 0.250 0.250 0.000
Rh1 Rh 0.000 0.000 0.500
```

Most intense lines, 2θ = 15–90°, sorted by position:
2θ 34.59, d 2.593, rel. 43, hkl 2 0 -1
2θ 39.95, d 2.257, rel. 51, hkl 2 2 0
2θ 40.48, d 2.229, rel. 100, hkl 2 2 -2
2θ 40.58, d 2.223, rel. 92, hkl 0 4 2
2θ 45.14, d 2.009, rel. 61, hkl 2 4 -1
2θ 45.99, d 1.973, rel. 55, hkl 2 0 -3